Ce11MnS16: calculated powder diffraction line list (Cu Ka), based on the PBE geometry in Alexandria.

Top 6 peaks for 10 to 90 degrees two-theta, in order of rising 2θ:
- hkl 1 2 2, 25.5 deg, rel. 49.5
- hkl 2 2 1, 25.7 deg, rel. 94.2
- hkl 1 0 3, 33.0 deg, rel. 44.7
- hkl 1 6 0, 33.5 deg, rel. 100.0
- hkl 2 2 3, 39.4 deg, rel. 34.6
- hkl 2 6 1, 39.8 deg, rel. 30.1

Cell and atoms:
Cell lengths 8.460, 16.919, 8.597 Å; angles 90.00, 90.00, 90.00 degrees
Space group P2_12_12 (No. 18)
Inequivalent atoms, fractional coordinates:
Ce (0.000, 0.000, 0.132) (multiplicity 2)
Ce (0.001, 0.750, 0.379) (multiplicity 4)
Ce (0.126, 0.626, 0.756) (multiplicity 4)
Ce (0.129, 0.123, 0.753) (multiplicity 4)
Ce (0.245, 0.440, 0.488) (multiplicity 4)
Ce (0.247, 0.315, 0.000) (multiplicity 4)
Mn (0.000, 0.500, 0.049) (multiplicity 2)
S (0.068, 0.650, 0.082) (multiplicity 4)
S (0.070, 0.088, 0.428) (multiplicity 4)
S (0.074, 0.165, 0.077) (multiplicity 4)
S (0.080, 0.591, 0.438) (multiplicity 4)
S (0.176, 0.286, 0.677) (multiplicity 4)
S (0.176, 0.462, 0.813) (multiplicity 4)
S (0.176, 0.790, 0.677) (multiplicity 4)
S (0.184, 0.965, 0.838) (multiplicity 4)



La4Nd3In: calculated powder diffraction line list (Cu Ka), based on the PBE geometry in Alexandria.

Top 6 peaks for 10 to 90 degrees two-theta, in order of rising 2θ:
- hkl 0 2 1, 28.2 deg, rel. 24.1
- hkl 4 0 0, 30.5 deg, rel. 24.5
- hkl 2 0 2, 32.1 deg, rel. 100.0
- hkl 0 4 0, 49.9 deg, rel. 18.5
- hkl 6 0 2, 55.3 deg, rel. 17.6
- hkl 4 4 0, 59.6 deg, rel. 19.6

Cell and atoms:
Cell lengths 11.707, 7.314, 6.337 Å; angles 90.00, 90.00, 90.00 degrees
Space group Pmn2_1 (No. 31)
Inequivalent atoms, fractional coordinates:
La (0.000, 0.116, 0.000) (multiplicity 2)
La (0.000, 0.869, 0.562) (multiplicity 2)
La (0.226, 0.863, 0.194) (multiplicity 4)
Nd (0.000, 0.376, 0.533) (multiplicity 2)
Nd (0.244, 0.384, 0.207) (multiplicity 4)
In (0.000, 0.604, 0.028) (multiplicity 2)



LiBi2Te3: calculated powder diffraction line list (Cu Ka), based on the PBE geometry in Alexandria.

Top 6 peaks for 10 to 90 degrees two-theta, in order of rising 2θ:
- hkl 1 1 1, 17.4 deg, rel. 53.1
- hkl 3 1 0, 21.7 deg, rel. 90.9
- hkl 0 0 2, 27.3 deg, rel. 91.2
- hkl 3 3 0, 33.0 deg, rel. 100.0
- hkl 3 1 2, 35.1 deg, rel. 58.3
- hkl 3 3 2, 43.3 deg, rel. 94.3

Cell and atoms:
Cell lengths 13.416, 10.269, 6.540 Å; angles 90.00, 90.00, 90.00 degrees
Space group Cmc2_1 (No. 36)
Inequivalent atoms, fractional coordinates:
Li (0.000, 0.162, 0.000) (multiplicity 4)
Bi (0.154, 0.335, 0.547) (multiplicity 8)
Te (0.000, 0.126, 0.562) (multiplicity 4)
Te (0.167, 0.335, 0.051) (multiplicity 8)



Pm3SeO3: calculated powder diffraction line list (Cu Ka), based on the PBE geometry in Alexandria.

Top 6 peaks for 10 to 90 degrees two-theta, in order of rising 2θ:
- hkl 0 0 6, 25.6 deg, rel. 16.7
- hkl 2 -1 3, 29.0 deg, rel. 100.0
- hkl 1 1 6, 36.8 deg, rel. 36.4
- hkl 3 0 0, 45.9 deg, rel. 33.7
- hkl 2 -1 9, 47.3 deg, rel. 20.5
- hkl 2 2 3, 55.2 deg, rel. 16.9

Cell and atoms:
Cell lengths 6.8515, 6.8515, 20.8893 Å; angles 90.00, 90.00, 120.00 degrees
Space group R-3 (No. 148, hexagonal axes)
Inequivalent atoms, fractional coordinates:
Pm (0.9999, 0.3314, 0.0957) (multiplicity 18)
Se (0.0000, 0.0000, 0.3333) (multiplicity 6)
O (0.9996, 0.3321, 0.8759) (multiplicity 18)



Copy entry 4 word for word.
Pm3SeO3: calculated powder diffraction line list (Cu Ka), based on the PBE geometry in Alexandria.

Top 6 peaks for 10 to 90 degrees two-theta, in order of rising 2θ:
- hkl 0 0 6, 25.6 deg, rel. 16.7
- hkl 2 -1 3, 29.0 deg, rel. 100.0
- hkl 1 1 6, 36.8 deg, rel. 36.4
- hkl 3 0 0, 45.9 deg, rel. 33.7
- hkl 2 -1 9, 47.3 deg, rel. 20.5
- hkl 2 2 3, 55.2 deg, rel. 16.9

Cell and atoms:
Cell lengths 6.8515, 6.8515, 20.8893 Å; angles 90.00, 90.00, 120.00 degrees
Space group R-3 (No. 148, hexagonal axes)
Inequivalent atoms, fractional coordinates:
Pm (0.9999, 0.3314, 0.0957) (multiplicity 18)
Se (0.0000, 0.0000, 0.3333) (multiplicity 6)
O (0.9996, 0.3321, 0.8759) (multiplicity 18)